1.
Simulated powder XRD pattern
Compound: InGeSb2
Radiation: Cu Kα
Structure: a crystal structure in Alexandria, relaxed with PBE

Largest 10 diffraction maxima, in order of falling intensity, 2θ from 10° to 90°:
- d 2.776, 2θ = 32.24°, intensity 100, hkl 0 1 5
- d 2.037, 2θ = 44.48°, intensity 52, hkl 1 1 0
- d 2.376, 2θ = 37.87°, intensity 41, hkl 1 0 7
- d 3.366, 2θ = 26.48°, intensity 27, hkl 0 1 2
- d 2.989, 2θ = 29.90°, intensity 26, hkl 1 0 4
- d 1.380, 2θ = 67.95°, intensity 24, hkl 1 1 12
- d 1.642, 2θ = 55.99°, intensity 20, hkl 2 0 5
- d 3.485, 2θ = 25.56°, intensity 19, hkl 1 0 1
- d 1.278, 2θ = 74.17°, intensity 17, hkl 1 2 5
- d 1.897, 2θ = 47.95°, intensity 14, hkl 1 0 10

Lattice parameters (Å, degrees): 4.0737 4.0737 22.5004 90.00 90.00 120.00
Space group R3m (No. 160, hexagonal axes)
Inequivalent atoms, fractional coordinates:
1 In 0.0000 0.0000 0.0000 (multiplicity 3)
2 Ge 0.0000 0.0000 0.1678 (multiplicity 3)
3 Sb 0.0000 0.0000 0.5759 (multiplicity 3)
4 Sb 0.0000 0.0000 0.7582 (multiplicity 3)

=====

2.
Simulated powder XRD pattern
Compound: TlCd2
Radiation: Cu Kα
Structure: a crystal structure in Alexandria, relaxed with PBE

Largest 10 diffraction maxima, in order of falling intensity, 2θ from 10° to 90°:
- d 2.690, 2θ = 33.30°, intensity 100, hkl 1 1 2
- d 2.425, 2θ = 37.07°, intensity 47, hkl 0 1 7
- d 2.628, 2θ = 34.12°, intensity 40, hkl 0 2 0
- d 2.505, 2θ = 35.84°, intensity 35, hkl 1 0 5
- d 1.813, 2θ = 50.32°, intensity 27, hkl 1 2 5
- d 3.094, 2θ = 28.86°, intensity 24, hkl 0 1 5
- d 4.056, 2θ = 21.91°, intensity 18, hkl 0 1 3
- d 1.529, 2θ = 60.56°, intensity 18, hkl 1 3 2
- d 1.368, 2θ = 68.60°, intensity 16, hkl 2 1 7
- d 4.783, 2θ = 18.55°, intensity 15, hkl 0 0 4

Lattice parameters (Å, degrees): 3.3144 5.2556 19.1339 90.00 90.00 90.00
Space group Imma (No. 74)
Inequivalent atoms, fractional coordinates:
1 Tl 0.0000 0.2500 0.1242 (multiplicity 4)
2 Cd 0.0000 0.2500 0.5337 (multiplicity 4)
3 Cd 0.0000 0.2500 0.6866 (multiplicity 4)

=====

3.
Simulated powder XRD pattern
Compound: Tb5HoTm12
Radiation: Cu Kα
Structure: a crystal structure in Alexandria, relaxed with PBE

Largest 10 diffraction maxima, in order of falling intensity, 2θ from 10° to 90°:
- d 2.748, 2θ = 32.58°, intensity 100, hkl 2 0 2
- d 2.918, 2θ = 30.64°, intensity 99, hkl 1 3 -2
- d 2.615, 2θ = 34.29°, intensity 90, hkl 2 0 -4
- d 2.837, 2θ = 31.54°, intensity 90, hkl 0 0 6
- d 1.494, 2θ = 62.12°, intensity 78, hkl 3 3 5
- d 1.758, 2θ = 52.02°, intensity 67, hkl 0 6 0
- d 2.406, 2θ = 37.37°, intensity 57, hkl 1 3 4
- d 1.104, 2θ = 88.58°, intensity 41, hkl 3 3 11
- d 2.810, 2θ = 31.85°, intensity 35, hkl 2 0 -3
- d 2.546, 2θ = 35.25°, intensity 31, hkl 2 0 3

Lattice parameters (Å, degrees): 6.0905 10.5453 17.1420 90.00 96.79 90.00
Space group C2/m (No. 12)
Inequivalent atoms, fractional coordinates:
1 Tb 0.0000 0.0000 0.0000 (multiplicity 2)
2 Tb 0.0000 0.1667 0.5000 (multiplicity 4)
3 Tb 0.0000 0.3333 0.0000 (multiplicity 4)
4 Ho 0.0000 0.5000 0.5000 (multiplicity 2)
5 Tm 0.1108 0.0000 0.3315 (multiplicity 4)
6 Tm 0.1107 0.3334 0.3315 (multiplicity 8)
7 Tm 0.2231 0.1667 0.1670 (multiplicity 8)
8 Tm 0.2232 0.5000 0.1670 (multiplicity 4)

=====

4.
Simulated powder XRD pattern
Compound: Pm6PuCd5
Radiation: Cu Kα
Structure: a crystal structure in Alexandria, relaxed with PBE

Largest 10 diffraction maxima, in order of falling intensity, 2θ from 10° to 90°:
- d 2.726, 2θ = 32.85°, intensity 100, hkl 1 2 3
- d 2.709, 2θ = 33.06°, intensity 25, hkl 2 0 0
- d 2.699, 2θ = 33.19°, intensity 24, hkl 0 0 6
- d 1.578, 2θ = 58.48°, intensity 19, hkl 2 4 0
- d 1.567, 2θ = 58.92°, intensity 18, hkl 3 2 3
- d 1.564, 2θ = 59.09°, intensity 18, hkl 1 2 9
- d 1.912, 2θ = 47.55°, intensity 18, hkl 2 0 6
- d 1.211, 2θ = 79.07°, intensity 12, hkl 4 0 6
- d 1.363, 2θ = 68.89°, intensity 11, hkl 2 4 6
- d 1.944, 2θ = 46.74°, intensity 9, hkl 0 4 0

Lattice parameters (Å, degrees): 5.4185 7.7741 16.1952 90.00 90.00 90.00
Space group Immm (No. 71)
Inequivalent atoms, fractional coordinates:
1 Pm 0.0000 0.2393 0.0000 (multiplicity 4)
2 Pm 0.0000 0.2518 0.3331 (multiplicity 8)
3 Pu 0.0000 0.0000 0.5000 (multiplicity 2)
4 Cd 0.0000 0.0000 0.1689 (multiplicity 4)
5 Cd 0.0000 0.5000 0.1603 (multiplicity 4)
6 Cd 0.0000 0.5000 0.5000 (multiplicity 2)

=====

5.
Simulated powder XRD pattern
Compound: Na3H4S4
Radiation: Cu Kα
Structure: a crystal structure in Alexandria, relaxed with PBE

Largest 10 diffraction maxima, in order of falling intensity, 2θ from 10° to 90°:
- d 2.542, 2θ = 35.31°, intensity 100, hkl 1 -1 2
- d 2.713, 2θ = 33.02°, intensity 93, hkl 1 0 -4
- d 3.992, 2θ = 22.27°, intensity 43, hkl 0 1 1
- d 3.535, 2θ = 25.19°, intensity 40, hkl 0 1 2
- d 3.635, 2θ = 24.49°, intensity 33, hkl 0 0 4
- d 4.847, 2θ = 18.30°, intensity 30, hkl 0 0 3
- d 3.845, 2θ = 23.13°, intensity 29, hkl 0 1 -2
- d 1.790, 2θ = 51.03°, intensity 28, hkl 2 0 -1
- d 2.226, 2θ = 40.52°, intensity 26, hkl -1 1 4
- d 2.200, 2θ = 41.02°, intensity 26, hkl 0 1 -6

Lattice parameters (Å, degrees): 3.5797 4.2872 14.7182 95.48 96.96 90.01
Space group P1 (No. 1)
Inequivalent atoms, fractional coordinates:
1 Na 0.0000 0.0000 0.0000 (multiplicity 1)
2 Na 0.1504 0.7750 0.3019 (multiplicity 1)
3 Na 0.8493 0.1918 0.6949 (multiplicity 1)
4 H 0.2748 0.6338 0.5458 (multiplicity 1)
5 H 0.4175 0.8673 0.8352 (multiplicity 1)
6 H 0.5825 0.0990 0.1645 (multiplicity 1)
7 H 0.7251 0.3326 0.4506 (multiplicity 1)
8 S 0.3213 0.6715 0.6386 (multiplicity 1)
9 S 0.4328 0.1763 0.8651 (multiplicity 1)
10 S 0.5654 0.7932 0.1310 (multiplicity 1)
11 S 0.6784 0.2954 0.3578 (multiplicity 1)

=====

6.
Simulated powder XRD pattern
Compound: Zn10Ag6Pt
Radiation: Cu Kα
Structure: a crystal structure in Alexandria, relaxed with PBE

Largest 10 diffraction maxima, in order of falling intensity, 2θ from 10° to 90°:
- d 2.192, 2θ = 41.18°, intensity 100, hkl 1 1 2
- d 2.243, 2θ = 40.20°, intensity 76, hkl 3 0 0
- d 2.294, 2θ = 39.27°, intensity 75, hkl 3 -1 1
- d 1.285, 2θ = 73.75°, intensity 25, hkl 4 -1 3
- d 3.136, 2θ = 28.46°, intensity 25, hkl 1 1 1
- d 1.568, 2θ = 58.91°, intensity 21, hkl 4 -2 2
- d 2.842, 2θ = 31.47°, intensity 19, hkl 2 0 1
- d 1.761, 2θ = 51.92°, intensity 19, hkl 3 1 1
- d 1.483, 2θ = 62.66°, intensity 13, hkl 3 2 1
- d 1.237, 2θ = 77.11°, intensity 10, hkl 6 -2 1

Lattice parameters (Å, degrees): 7.7714 7.7714 5.3095 90.00 90.00 120.00
Space group P-31m (No. 162)
Inequivalent atoms, fractional coordinates:
1 Zn 0.0000 0.2604 0.3036 (multiplicity 6)
2 Zn 0.3333 0.6667 0.0000 (multiplicity 2)
3 Zn 0.3333 0.6667 0.5000 (multiplicity 2)
4 Ag 0.0000 0.3844 0.7808 (multiplicity 6)
5 Pt 0.0000 0.0000 0.0000 (multiplicity 1)

=====

7.
Simulated powder XRD pattern
Compound: RbMg4In12
Radiation: Cu Kα
Structure: a crystal structure in Alexandria, relaxed with PBE

Largest 10 diffraction maxima, in order of falling intensity, 2θ from 10° to 90°:
- d 3.220, 2θ = 27.70°, intensity 100, hkl 3 0 1
- d 1.997, 2θ = 45.41°, intensity 40, hkl 4 3 1
- d 2.722, 2θ = 32.91°, intensity 31, hkl 3 1 2
- d 1.697, 2θ = 54.03°, intensity 14, hkl 6 0 0
- d 1.184, 2θ = 81.27°, intensity 14, hkl 7 4 3
- d 1.501, 2θ = 61.79°, intensity 14, hkl 6 1 3
- d 2.277, 2θ = 39.58°, intensity 11, hkl 4 0 2
- d 1.337, 2θ = 70.42°, intensity 11, hkl 7 3 0
- d 2.079, 2θ = 43.54°, intensity 9, hkl 4 2 2
- d 2.171, 2θ = 41.60°, intensity 7, hkl 3 3 2

Lattice parameters (Å, degrees): 10.1832 10.1832 10.1832 90.00 90.00 90.00
Space group Im-3 (No. 204)
Inequivalent atoms, fractional coordinates:
1 Rb 0.0000 0.0000 0.0000 (multiplicity 2)
2 Mg 0.2500 0.2500 0.2500 (multiplicity 8)
3 In 0.0000 0.3557 0.1536 (multiplicity 24)

=====

8.
Simulated powder XRD pattern
Compound: NdEr2In2Hg2
Radiation: Cu Kα
Structure: a crystal structure in Alexandria, relaxed with PBE

Largest 10 diffraction maxima, in order of falling intensity, 2θ from 10° to 90°:
- d 2.849, 2θ = 31.40°, intensity 100, hkl 1 0 7
- d 2.477, 2θ = 36.26°, intensity 86, hkl 1 1 0
- d 1.869, 2θ = 48.71°, intensity 30, hkl 0 2 7
- d 1.492, 2θ = 62.21°, intensity 29, hkl 2 1 7
- d 1.430, 2θ = 65.23°, intensity 16, hkl 3 0 0
- d 1.136, 2θ = 85.48°, intensity 12, hkl 1 3 7
- d 1.741, 2θ = 52.57°, intensity 12, hkl 0 1 14
- d 1.900, 2θ = 47.86°, intensity 10, hkl 1 1 9
- d 1.239, 2θ = 76.98°, intensity 10, hkl 2 2 0
- d 1.553, 2θ = 59.51°, intensity 9, hkl 1 0 16

Lattice parameters (Å, degrees): 4.9546 4.9546 26.6648 90.00 90.00 120.00
Space group R-3m (No. 166, hexagonal axes)
Inequivalent atoms, fractional coordinates:
1 Nd 0.0000 0.0000 0.0000 (multiplicity 3)
2 Er 0.0000 0.0000 0.1327 (multiplicity 6)
3 In 0.0000 0.0000 0.2656 (multiplicity 6)
4 Hg 0.0000 0.0000 0.4323 (multiplicity 6)

=====

What did the second record say?
Simulated powder XRD pattern
Compound: TlCd2
Radiation: Cu Kα
Structure: a crystal structure in Alexandria, relaxed with PBE

Largest 10 diffraction maxima, in order of falling intensity, 2θ from 10° to 90°:
- d 2.690, 2θ = 33.30°, intensity 100, hkl 1 1 2
- d 2.425, 2θ = 37.07°, intensity 47, hkl 0 1 7
- d 2.628, 2θ = 34.12°, intensity 40, hkl 0 2 0
- d 2.505, 2θ = 35.84°, intensity 35, hkl 1 0 5
- d 1.813, 2θ = 50.32°, intensity 27, hkl 1 2 5
- d 3.094, 2θ = 28.86°, intensity 24, hkl 0 1 5
- d 4.056, 2θ = 21.91°, intensity 18, hkl 0 1 3
- d 1.529, 2θ = 60.56°, intensity 18, hkl 1 3 2
- d 1.368, 2θ = 68.60°, intensity 16, hkl 2 1 7
- d 4.783, 2θ = 18.55°, intensity 15, hkl 0 0 4

Lattice parameters (Å, degrees): 3.3144 5.2556 19.1339 90.00 90.00 90.00
Space group Imma (No. 74)
Inequivalent atoms, fractional coordinates:
1 Tl 0.0000 0.2500 0.1242 (multiplicity 4)
2 Cd 0.0000 0.2500 0.5337 (multiplicity 4)
3 Cd 0.0000 0.2500 0.6866 (multiplicity 4)